Starting from a GGA-PBE-relaxed structure, the powder XRD pattern of La2Sm2I7 was computed for λ = 1.5418 Å (Cu Kα).
No peak broadening, texture or thermal motion is included.

Top 10 peaks for 2θ from 10° to 80°, in order of falling intensity:
| (hkl) | 2θ/deg | I (rel.) |
| --- | --- | --- |
| 1 3 -2 | 30.6 | 100 |
| 0 2 1 | 16.9 | 96 |
| 3 3 0 | 34.9 | 90 |
| 2 0 2 | 29.3 | 83 |
| 1 1 -1 | 15.5 | 80 |
| 1 1 0 | 11.5 | 79 |
| 2 0 -2 | 28.4 | 72 |
| 3 1 1 | 31.7 | 70 |
| 1 3 -1 | 24.2 | 69 |
| 0 6 0 | 39.8 | 61 |

Structure:
Unit cell a=9.3546 b=13.6116 c=8.2537 alpha=90.00 beta=91.84 gamma=90.00
Space group C2/m (No. 12)
Asymmetric unit:
La  0.0000  0.1433  0.0000
Sm  0.1951  0.0000  0.3527
I  0.0000  0.5000  0.5000
I  0.1357  0.0000  0.7296
I  0.2158  0.2985  0.7766